Record 1
Diffraction record for BaP2PdO7. The PXRD pattern is computed, not measured: it uses a structure optimized by DFT (PBE) and λ = 1.5418 Å (Cu Kα).
Neutral-atom scattering factors, no anomalous dispersion.

Most intense lines, 2θ = 10–80°, sorted by position:
| Position (°2θ) | d/Å | Rel. int. | index |
| --- | --- | --- | --- |
| 13.2 | 6.691 | 42 | 1 0 1 |
| 22.3 | 3.983 | 100 | 2 1 1 |
| 26.6 | 3.345 | 47 | 2 0 2 |
| 31.3 | 2.862 | 42 | 2 2 0 |
| 31.5 | 2.839 | 84 | 4 1 1 |
| 37.1 | 2.420 | 24 | 0 2 2 |
| 40.4 | 2.231 | 23 | 2 1 3 |
| 45.5 | 1.991 | 48 | 6 0 2 |
| 58.2 | 1.585 | 14 | 2 2 4 |
| 65.8 | 1.420 | 17 | 8 2 2 |

Crystal structure
```
data_BaP2PdO7
_cell_length_a 14.019
_cell_length_b 6.271
_cell_length_c 7.614
_cell_angle_alpha 90.00
_cell_angle_beta 90.00
_cell_angle_gamma 90.00
_symmetry_space_group_name_H-M 'P 1'
_symmetry_Int_Tables_number 1
loop_
_symmetry_equiv_pos_as_xyz
'x,y,z'
loop_
_atom_site_label
_atom_site_fract_x
_atom_site_fract_y
_atom_site_fract_z
Ba1 0.239 0.250 0.247
Ba2 0.261 0.750 0.747
Ba3 0.739 0.250 0.253
Ba4 0.761 0.750 0.753
P1 0.085 0.750 0.183
P2 0.119 0.250 0.778
P3 0.381 0.750 0.278
P4 0.415 0.250 0.683
P5 0.585 0.750 0.317
P6 0.619 0.250 0.722
P7 0.881 0.750 0.222
P8 0.915 0.250 0.817
Pd1 0.000 0.000 0.500
Pd2 0.000 0.500 0.500
Pd3 0.500 0.000 0.000
Pd4 0.500 0.500 0.000
O1 0.023 0.250 0.899
O2 0.092 0.543 0.295
O3 0.092 0.957 0.295
O4 0.116 0.045 0.662
O5 0.116 0.455 0.662
O6 0.156 0.750 0.037
O7 0.204 0.250 0.897
O8 0.296 0.750 0.397
O9 0.344 0.250 0.537
O10 0.384 0.545 0.162
O11 0.384 0.955 0.162
O12 0.408 0.043 0.795
O13 0.408 0.457 0.795
O14 0.477 0.750 0.399
O15 0.523 0.250 0.601
O16 0.592 0.543 0.205
O17 0.592 0.957 0.205
O18 0.616 0.045 0.838
O19 0.616 0.455 0.838
O20 0.656 0.750 0.463
O21 0.704 0.250 0.603
O22 0.796 0.750 0.103
O23 0.844 0.250 0.963
O24 0.884 0.545 0.338
O25 0.884 0.955 0.338
O26 0.908 0.043 0.705
O27 0.908 0.457 0.705
O28 0.977 0.750 0.101
```

***

Record 2
Diffraction record for Ba10P6SO24. The PXRD pattern is computed, not measured: it uses a structure optimized by DFT (PBE) and λ = 1.5418 Å (Cu Kα).
Neutral-atom scattering factors, no anomalous dispersion.

Most intense lines, 2θ = 10–80°, sorted by position:
| Position (°2θ) | d/Å | Rel. int. | index |
| --- | --- | --- | --- |
| 19.7 | 4.501 | 14 | 2 0 0 |
| 25.0 | 3.562 | 14 | 1 0 2 |
| 26.2 | 3.402 | 19 | 2 1 0 |
| 28.7 | 3.112 | 100 | 1 1 2 |
| 29.8 | 3.000 | 28 | 3 0 0 |
| 41.8 | 2.159 | 19 | 4 -2 2 |
| 44.0 | 2.059 | 17 | 3 -2 3 |
| 45.5 | 1.996 | 12 | 5 -3 1 |
| 46.2 | 1.964 | 12 | 1 4 0 |
| 46.7 | 1.946 | 14 | 4 0 2 |

Crystal structure
```
data_Ba10P6SO24
_cell_length_a 10.394
_cell_length_b 10.394
_cell_length_c 7.758
_cell_angle_alpha 90.00
_cell_angle_beta 90.00
_cell_angle_gamma 120.00
_symmetry_space_group_name_H-M 'P 1'
_symmetry_Int_Tables_number 1
loop_
_symmetry_equiv_pos_as_xyz
'x,y,z'
loop_
_atom_site_label
_atom_site_fract_x
_atom_site_fract_y
_atom_site_fract_z
Ba1 0.014 0.259 0.261
Ba2 0.244 0.986 0.261
Ba3 0.259 0.244 0.739
Ba4 0.333 0.667 0.019
Ba5 0.333 0.667 0.520
Ba6 0.667 0.333 0.480
Ba7 0.667 0.333 0.981
Ba8 0.741 0.756 0.261
Ba9 0.756 0.014 0.739
Ba10 0.986 0.741 0.739
P1 0.030 0.399 0.752
P2 0.369 0.970 0.752
P3 0.399 0.369 0.248
P4 0.601 0.631 0.752
P5 0.631 0.030 0.248
P6 0.970 0.601 0.248
S1 0.000 0.000 0.500
O1 0.062 0.317 0.899
O2 0.095 0.376 0.581
O3 0.111 0.570 0.787
O4 0.141 0.664 0.263
O5 0.254 0.938 0.899
O6 0.281 0.905 0.581
O7 0.317 0.254 0.101
O8 0.336 0.477 0.263
O9 0.376 0.281 0.419
O10 0.430 0.541 0.787
O11 0.459 0.889 0.787
O12 0.477 0.141 0.737
O13 0.523 0.859 0.263
O14 0.541 0.111 0.213
O15 0.570 0.459 0.213
O16 0.624 0.719 0.581
O17 0.664 0.523 0.737
O18 0.683 0.746 0.899
O19 0.719 0.095 0.419
O20 0.746 0.062 0.101
O21 0.859 0.336 0.737
O22 0.889 0.430 0.213
O23 0.905 0.624 0.419
O24 0.938 0.683 0.101
```